Structure and theoretical powder XRD pattern of La3B6Ru8 (a structure optimized by DFT (PBE); Cu Kα X-rays).

Peak list (10 most intense, 2θ = 15–90°, in order of rising 2θ)
2θ (°)  Rel. int.  hkl
31.37  61  1 1 5
35.64  43  0 2 6
36.55  51  0 4 0
36.96  100  2 2 0
40.93  36  1 3 5
44.76  27  2 0 6
48.63  14  2 2 6
59.11  20  2 4 6
66.06  21  2 6 0
75.73  18  2 2 12

```
data_La3B6Ru8
_symmetry_space_group_name_H-M 'F m m m'
_symmetry_Int_Tables_number 69
_symmetry_space_group_name_Hall '-F 2 2'
_cell_length_a 5.5971
_cell_length_b 9.8337
_cell_length_c 17.6002
_cell_angle_alpha 90.00
_cell_angle_beta 90.00
_cell_angle_gamma 90.00
loop_
_atom_site_label
_atom_site_type_symbol
_atom_site_fract_x
_atom_site_fract_y
_atom_site_fract_z
_atom_site_occupancy
La1 La 0.0000 0.0000 0.0000 1
La2 La 0.0000 0.0000 0.1815 1
B1 B 0.0000 0.1640 0.3290 1
B2 B 0.0000 0.1700 0.5000 1
Ru1 Ru 0.0000 0.0000 0.4134 1
Ru2 Ru 0.2500 0.2500 0.0859 1
Ru3 Ru 0.2500 0.2500 0.2500 1
```

Structure and theoretical powder XRD pattern of LaBS3 (a structure optimized by DFT (PBE); Cu Kα X-rays).

Peak list (10 most intense, 2θ = 15–90°, in order of rising 2θ)
2θ (°)  Rel. int.  hkl
17.40  55  1 0 0
19.60  100  0 1 1
22.61  85  1 1 0
26.77  98  0 0 2
33.30  78  2 0 -1
33.93  55  1 2 0
34.34  61  1 2 -1
38.73  63  1 2 1
39.63  73  1 1 2
39.82  78  1 2 -2

```
data_LaBS3
_symmetry_space_group_name_H-M 'P 1 21/m 1'
_symmetry_Int_Tables_number 11
_symmetry_space_group_name_Hall '-P 2yb'
_cell_length_a 5.3907
_cell_length_b 6.1781
_cell_length_c 7.0436
_cell_angle_alpha 90.00
_cell_angle_beta 108.97
_cell_angle_gamma 90.00
loop_
_atom_site_label
_atom_site_type_symbol
_atom_site_fract_x
_atom_site_fract_y
_atom_site_fract_z
_atom_site_occupancy
La1 La 0.1497 0.2500 0.2942 1
B1 B 0.2132 0.2500 0.7586 1
S1 S 0.0659 0.7500 0.1505 1
S2 S 0.3178 0.5055 0.6854 1
```

Structure and theoretical powder XRD pattern of LaSiB2 (a structure optimized by DFT (PBE); Cu Kα X-rays).

Peak list (10 most intense, 2θ = 15–90°, in order of rising 2θ)
2θ (°)  Rel. int.  hkl
21.37  43  1 0 1
26.91  31  0 0 4
28.71  35  1 0 3
31.91  100  1 1 2
39.75  14  1 0 5
41.24  24  2 0 0
46.91  18  2 1 1
49.93  28  2 0 4
50.77  27  1 1 6
69.34  21  3 1 2

```
data_LaSiB2
_symmetry_space_group_name_H-M 'I 41/a m d'
_symmetry_Int_Tables_number 141
_cell_length_a 4.3783
_cell_length_b 4.3783
_cell_length_c 13.2545
_cell_angle_alpha 90.00
_cell_angle_beta 90.00
_cell_angle_gamma 90.00
loop_
_symmetry_equiv_pos_as_xyz
'x,y,z'
'-x,-y,-z'
'-y+1/4,x+3/4,z+1/4'
'y+1/4,-x+3/4,-z+1/4'
'-x+1/2,-y,z+1/2'
'x+1/2,y,-z+1/2'
'y+1/4,-x+1/4,z+3/4'
'-y+1/4,x+1/4,-z+3/4'
'x,-y,-z'
'-x,y,z'
'-y+1/4,-x+1/4,-z+3/4'
'y+1/4,x+1/4,z+3/4'
'-x+1/2,y,-z+1/2'
'x+1/2,-y,z+1/2'
'y+1/4,x+3/4,-z+1/4'
'-y+1/4,-x+3/4,z+1/4'
'x+1/2,y+1/2,z+1/2'
'-x+1/2,-y+1/2,-z+1/2'
'-y+3/4,x+1/4,z+3/4'
'y+3/4,-x+1/4,-z+3/4'
'-x,-y+1/2,z'
'x,y+1/2,-z'
'y+3/4,-x+3/4,z+1/4'
'-y+3/4,x+3/4,-z+1/4'
'x+1/2,-y+1/2,-z+1/2'
'-x+1/2,y+1/2,z+1/2'
'-y+3/4,-x+3/4,-z+1/4'
'y+3/4,x+3/4,z+1/4'
'-x,y+1/2,-z'
'x,-y+1/2,z'
'y+3/4,x+1/4,-z+3/4'
'-y+3/4,-x+1/4,z+3/4'
loop_
_atom_site_label
_atom_site_type_symbol
_atom_site_fract_x
_atom_site_fract_y
_atom_site_fract_z
_atom_site_occupancy
La1 La 0.0000 0.2500 0.3750 1
Si1 Si 0.0000 0.2500 0.8750 1
B1 B 0.0000 0.0000 0.0000 1
```